# 1
Diffraction record for Rb2Hg7. The XRD peak list is calculated, not measured: it uses a GGA-PBE-relaxed structure and Cu Kα X-rays.
Lines closer than 0.1° are merged.

Cell and atoms:
```
Rb2Hg7
1.0
3.2462 1.8742 16.3631
-3.2462 1.8742 16.3631
0.0000 -3.7484 16.3631
Rb Hg
4 14
Direct
0.0518 0.0518 0.0518
0.1501 0.1501 0.1501
0.8499 0.8499 0.8499
0.9482 0.9482 0.9482
0.0000 0.5000 0.5000
0.1058 0.6141 0.6141
0.2783 0.2783 0.2783
0.3859 0.3859 0.8942
0.3859 0.8942 0.3859
0.3896 0.3896 0.3896
0.5000 0.0000 0.5000
0.5000 0.5000 0.0000
0.5000 0.5000 0.5000
0.6104 0.6104 0.6104
0.6141 0.1058 0.6141
0.6141 0.6141 0.1058
0.7217 0.7217 0.7217
0.8942 0.3859 0.3859
```

Top 6 peaks for 2θ from 10° to 80°, by angle:
d = 5.586 Å, intensity 43
d = 2.790 Å, intensity 100
d = 2.727 Å, intensity 35
d = 2.556 Å, intensity 41
d = 2.440 Å, intensity 28
d = 1.395 Å, intensity 28


# 2
Diffraction record for Rb2Hg4Rh. The XRD peak list is calculated, not measured: it uses a GGA-PBE-relaxed structure and Cu Kα X-rays.
Lines closer than 0.1° are merged.

Cell and atoms:
```
Rb2Hg4Rh
1.0
-2.6995 2.6995 8.9294
2.6995 -2.6995 8.9294
2.6995 2.6995 -8.9294
Rb Hg Rh
2 4 1
Direct
0.1424 0.1424 0.0000
0.8576 0.8576 0.0000
0.0000 0.5000 0.5000
0.3493 0.3493 0.0000
0.5000 0.0000 0.5000
0.6507 0.6507 0.0000
0.5000 0.5000 0.0000
```

Top 6 peaks for 2θ from 10° to 80°, by angle:
d = 5.168 Å, intensity 36
d = 3.510 Å, intensity 57
d = 2.977 Å, intensity 44
d = 2.902 Å, intensity 100
d = 2.699 Å, intensity 81
d = 2.000 Å, intensity 55


# 3
Diffraction record for RbHg2S3. The XRD peak list is calculated, not measured: it uses a GGA-PBE-relaxed structure and Cu Kα X-rays.
Lines closer than 0.1° are merged.

Cell and atoms:
```
RbHg2S3
1.0
7.1014 0.0000 0.0000
2.2146 6.8763 0.0000
1.9273 0.9210 7.3343
Rb Hg S
2 4 6
Direct
0.1263 0.2051 0.4509
0.8737 0.7949 0.5491
0.1677 0.6762 0.9573
0.5000 0.0000 0.0000
0.5000 0.5000 0.5000
0.8323 0.3238 0.0427
0.1365 0.4152 0.8025
0.2366 0.8583 0.1684
0.3970 0.7804 0.6596
0.6030 0.2196 0.3404
0.7634 0.1417 0.8316
0.8635 0.5848 0.1975
```

Top 6 peaks for 2θ from 10° to 80°, by angle:
d = 3.742 Å, intensity 100
d = 3.667 Å, intensity 50
d = 3.568 Å, intensity 54
d = 2.862 Å, intensity 49
d = 2.779 Å, intensity 53
d = 2.255 Å, intensity 51


# 4
Diffraction record for RbHg2S3. The XRD peak list is calculated, not measured: it uses a GGA-PBE-relaxed structure and Cu Kα X-rays.
Lines closer than 0.1° are merged.

Cell and atoms:
```
RbHg2S3
1.0
3.8093 0.0000 0.0000
0.0000 11.6082 0.0000
0.0000 0.0000 7.1337
Rb Hg S
2 4 6
Direct
0.0000 0.1441 0.0000
0.0000 0.8559 0.5000
0.0000 0.2190 0.4980
0.0000 0.7810 0.9980
0.5000 0.4829 0.0213
0.5000 0.5171 0.5213
0.0000 0.4132 0.7656
0.0000 0.5868 0.2656
0.5000 0.0945 0.6230
0.5000 0.3147 0.2997
0.5000 0.6853 0.7997
0.5000 0.9055 0.1230
```

Top 6 peaks for 2θ from 10° to 80°, by angle:
d = 3.869 Å, intensity 58
d = 3.567 Å, intensity 69
d = 3.185 Å, intensity 81
d = 2.623 Å, intensity 58
d = 2.540 Å, intensity 75
d = 2.376 Å, intensity 100


# 5
Diffraction record for Rb3HgSb. The XRD peak list is calculated, not measured: it uses a GGA-PBE-relaxed structure and Cu Kα X-rays.
Lines closer than 0.1° are merged.

Cell and atoms:
```
Rb3HgSb
1.0
-5.7453 5.4224 4.7058
5.7453 -5.4224 4.7058
5.7453 5.4224 -4.7058
Rb Hg Sb
6 2 2
Direct
0.1882 0.0576 0.2458
0.1882 0.4424 0.6306
0.2445 0.6015 0.1430
0.4585 0.1015 0.8570
0.8118 0.5576 0.3694
0.8118 0.9424 0.7542
0.6450 0.4494 0.6956
0.7538 0.9494 0.3044
0.0466 0.7206 0.8260
0.8946 0.2206 0.1740
```

Top 6 peaks for 2θ from 10° to 80°, by angle:
d = 7.108 Å, intensity 85
d = 5.745 Å, intensity 80
d = 3.943 Å, intensity 100
d = 3.014 Å, intensity 68
d = 2.868 Å, intensity 88
d = 2.781 Å, intensity 80


# 6
Diffraction record for Rb2Hg5Sb3. The XRD peak list is calculated, not measured: it uses a GGA-PBE-relaxed structure and Cu Kα X-rays.
Lines closer than 0.1° are merged.

Cell and atoms:
```
Rb2Hg5Sb3
1.0
8.2296 -5.9471 0.0000
8.2296 5.9471 0.0000
-3.2761 0.0000 6.6099
Rb Hg Sb
4 10 6
Direct
0.1169 0.6303 0.8735
0.3697 0.8831 0.6265
0.6303 0.1169 0.3735
0.8831 0.3697 0.1265
0.0015 0.9985 0.7500
0.2436 0.5225 0.3829
0.2614 0.2631 0.0122
0.2631 0.2614 0.5122
0.4775 0.7564 0.1171
0.5225 0.2436 0.8829
0.7369 0.7386 0.4878
0.7386 0.7369 0.9878
0.7564 0.4775 0.6171
0.9985 0.0015 0.2500
0.0103 0.2515 0.6312
0.2515 0.0103 0.1312
0.4995 0.5005 0.7500
0.5005 0.4995 0.2500
0.7485 0.9897 0.8688
0.9897 0.7485 0.3688
```

Top 6 peaks for 2θ from 10° to 80°, by angle:
d = 5.947 Å, intensity 30
d = 3.156 Å, intensity 35
d = 3.134 Å, intensity 100
d = 2.614 Å, intensity 39
d = 2.602 Å, intensity 39
d = 2.315 Å, intensity 66


# 7
Diffraction record for Rb3Hg9Sb2. The XRD peak list is calculated, not measured: it uses a GGA-PBE-relaxed structure and Cu Kα X-rays.
Lines closer than 0.1° are merged.

Cell and atoms:
```
Rb3Hg9Sb2
1.0
7.8843 -5.9357 0.0000
7.8843 5.9357 0.0000
-1.7074 0.0000 4.9064
Rb Hg Sb
3 9 2
Direct
0.0000 0.0000 0.0000
0.3269 0.3269 0.3269
0.6731 0.6731 0.6731
0.0522 0.3117 0.6829
0.1490 0.5992 0.8726
0.3117 0.0522 0.6829
0.4008 0.8510 0.1274
0.5000 0.5000 0.0000
0.5992 0.1490 0.8726
0.6883 0.9478 0.3171
0.8510 0.4008 0.1274
0.9478 0.6883 0.3171
0.2522 0.7478 0.5000
0.7478 0.2522 0.5000
```

Top 6 peaks for 2θ from 10° to 80°, by angle:
d = 4.759 Å, intensity 36
d = 3.150 Å, intensity 59
d = 3.071 Å, intensity 100
d = 2.598 Å, intensity 59
d = 2.584 Å, intensity 37
d = 1.577 Å, intensity 38


# 8
Diffraction record for Rb4HgSb3. The XRD peak list is calculated, not measured: it uses a GGA-PBE-relaxed structure and Cu Kα X-rays.
Lines closer than 0.1° are merged.

Cell and atoms:
```
Rb4HgSb3
1.0
4.8584 0.0000 0.0000
0.0000 5.7023 0.0000
0.0000 0.0000 13.0100
Rb Hg Sb
4 1 3
Direct
0.0000 0.0000 0.0000
0.0000 0.5000 0.4914
0.5000 0.0000 0.7150
0.5000 0.5000 0.2156
0.0000 0.5000 0.7956
0.0000 0.0000 0.2926
0.5000 0.0000 0.4208
0.5000 0.5000 0.9137
```

Top 6 peaks for 2θ from 10° to 80°, by angle:
d = 6.505 Å, intensity 47
d = 3.557 Å, intensity 94
d = 3.452 Å, intensity 53
d = 2.851 Å, intensity 46
d = 2.814 Å, intensity 100
d = 2.703 Å, intensity 46


# 9
Diffraction record for RbHg4Sb. The XRD peak list is calculated, not measured: it uses a GGA-PBE-relaxed structure and Cu Kα X-rays.
Lines closer than 0.1° are merged.

Cell and atoms:
```
RbHg4Sb
1.0
2.6378 -12.6675 0.0000
2.6378 12.6675 0.0000
0.0000 0.0000 6.5040
Rb Hg Sb
2 8 2
Direct
0.1018 0.8982 0.7500
0.8982 0.1018 0.2500
0.1700 0.8300 0.2500
0.2880 0.7120 0.0104
0.2880 0.7120 0.4896
0.5000 0.5000 0.0000
0.5000 0.5000 0.5000
0.7120 0.2880 0.5104
0.7120 0.2880 0.9896
0.8300 0.1700 0.7500
0.4119 0.5881 0.7500
0.5881 0.4119 0.2500
```

Top 6 peaks for 2θ from 10° to 80°, by angle:
d = 3.654 Å, intensity 50
d = 2.893 Å, intensity 66
d = 2.636 Å, intensity 78
d = 2.484 Å, intensity 48
d = 2.430 Å, intensity 100
d = 1.949 Å, intensity 45


# 10
Diffraction record for RbHgSb. The XRD peak list is calculated, not measured: it uses a GGA-PBE-relaxed structure and Cu Kα X-rays.
Lines closer than 0.1° are merged.

Cell and atoms:
```
RbHgSb
1.0
6.9325 0.0000 0.0000
1.0482 8.0404 0.0000
1.1486 2.9847 9.1533
Rb Hg Sb
4 4 4
Direct
0.0929 0.3072 0.2144
0.3580 0.1524 0.7632
0.6420 0.8476 0.2368
0.9071 0.6928 0.7856
0.1527 0.8897 0.1289
0.4450 0.6140 0.6598
0.5550 0.3860 0.3402
0.8473 0.1103 0.8711
0.1956 0.5718 0.4508
0.3837 0.6624 0.9405
0.6163 0.3376 0.0595
0.8044 0.4282 0.5492
```

Top 6 peaks for 2θ from 10° to 80°, by angle:
d = 5.368 Å, intensity 100
d = 5.136 Å, intensity 58
d = 3.298 Å, intensity 64
d = 3.193 Å, intensity 93
d = 3.125 Å, intensity 66
d = 2.953 Å, intensity 62